Entry 1:
Starting from a structure optimized by DFT (PBE), the X-ray diffraction stick pattern of KZn2PbCl8 was calculated for CuKα.

Atomic structure:
a = 7.862 Å, b = 7.862 Å, c = 7.862 Å
α = 105.07°, β = 105.07°, γ = 118.68°
Fractional positions:
K 0.000 0.000 0.000
Zn 0.500 0.500 0.000
Zn 0.750 0.250 0.500
Pb 0.250 0.750 0.500
Cl 0.329 0.137 0.809
Cl 0.329 0.520 0.191
Cl 0.383 0.059 0.324
Cl 0.480 0.671 0.809
Cl 0.735 0.059 0.676
Cl 0.863 0.671 0.191
Cl 0.941 0.265 0.324
Cl 0.941 0.617 0.676

Peak list (10 most intense, 10° ≤ 2θ ≤ 80°, by angle)
| 2θ/deg | d/Å | intensity |
| --- | --- | --- |
| 13.1 | 6.763 | 32 |
| 14.4 | 6.144 | 34 |
| 18.6 | 4.782 | 100 |
| 25.8 | 3.449 | 45 |
| 29.1 | 3.072 | 20 |
| 30.2 | 2.962 | 24 |
| 35.7 | 2.518 | 15 |
| 37.2 | 2.414 | 69 |
| 37.6 | 2.391 | 23 |
| 46.2 | 1.965 | 29 |

Entry 2:
Starting from a structure optimized by DFT (PBE), the X-ray diffraction stick pattern of K3Pd2Cl9 was calculated for CuKα.

Atomic structure:
a = 6.948 Å, b = 6.948 Å, c = 18.109 Å
α = 90.00°, β = 90.00°, γ = 120.00°
Fractional positions:
K 0.000 0.000 0.250
K 0.000 0.000 0.750
K 0.333 0.667 0.059
K 0.333 0.667 0.441
K 0.667 0.333 0.559
K 0.667 0.333 0.941
Pd 0.333 0.667 0.664
Pd 0.333 0.667 0.836
Pd 0.667 0.333 0.164
Pd 0.667 0.333 0.336
Cl 0.010 0.505 0.750
Cl 0.170 0.341 0.589
Cl 0.170 0.341 0.911
Cl 0.170 0.830 0.589
Cl 0.170 0.830 0.911
Cl 0.341 0.170 0.089
Cl 0.341 0.170 0.411
Cl 0.495 0.505 0.750
Cl 0.495 0.990 0.750
Cl 0.505 0.010 0.250
Cl 0.505 0.495 0.250
Cl 0.659 0.830 0.589
Cl 0.659 0.830 0.911
Cl 0.830 0.170 0.089
Cl 0.830 0.170 0.411
Cl 0.830 0.659 0.089
Cl 0.830 0.659 0.411
Cl 0.990 0.495 0.250

Peak list (10 most intense, 10° ≤ 2θ ≤ 80°, by angle)
| 2θ/deg | d/Å | intensity |
| --- | --- | --- |
| 14.7 | 6.017 | 24 |
| 15.5 | 5.710 | 100 |
| 25.6 | 3.474 | 26 |
| 28.8 | 3.103 | 32 |
| 33.3 | 2.694 | 35 |
| 35.8 | 2.506 | 29 |
| 38.9 | 2.314 | 27 |
| 39.6 | 2.278 | 19 |
| 47.2 | 1.926 | 18 |
| 52.7 | 1.737 | 27 |

Entry 3:
Starting from a structure optimized by DFT (PBE), the X-ray diffraction stick pattern of KTmPdCl6 was calculated for CuKα.

Atomic structure:
a = 6.671 Å, b = 6.671 Å, c = 7.085 Å
α = 90.00°, β = 90.00°, γ = 120.00°
Fractional positions:
K 0.000 0.000 0.000
Tm 0.667 0.333 0.500
Pd 0.333 0.667 0.500
Cl 0.007 0.370 0.709
Cl 0.007 0.637 0.291
Cl 0.363 0.370 0.291
Cl 0.363 0.993 0.709
Cl 0.630 0.637 0.709
Cl 0.630 0.993 0.291

Peak list (10 most intense, 10° ≤ 2θ ≤ 80°, by angle)
| 2θ/deg | d/Å | intensity |
| --- | --- | --- |
| 12.5 | 7.085 | 100 |
| 15.3 | 5.777 | 37 |
| 19.8 | 4.477 | 93 |
| 26.7 | 3.336 | 26 |
| 29.6 | 3.018 | 76 |
| 37.0 | 2.428 | 86 |
| 43.4 | 2.087 | 24 |
| 47.2 | 1.927 | 57 |
| 49.0 | 1.858 | 24 |
| 59.1 | 1.564 | 23 |

Entry 4:
Starting from a structure optimized by DFT (PBE), the X-ray diffraction stick pattern of KPm4Cl12 was calculated for CuKα.

Atomic structure:
a = 9.203 Å, b = 9.203 Å, c = 9.203 Å
α = 110.65°, β = 108.90°, γ = 108.87°
Fractional positions:
K 0.000 0.000 0.000
Pm 0.000 0.000 0.500
Pm 0.000 0.500 0.000
Pm 0.500 0.000 0.000
Pm 0.500 0.500 0.500
Cl 0.000 0.303 0.697
Cl 0.000 0.697 0.303
Cl 0.251 0.061 0.810
Cl 0.251 0.440 0.190
Cl 0.252 0.190 0.442
Cl 0.252 0.810 0.062
Cl 0.395 0.697 0.697
Cl 0.605 0.303 0.303
Cl 0.748 0.190 0.938
Cl 0.748 0.810 0.558
Cl 0.749 0.560 0.810
Cl 0.749 0.939 0.190

Peak list (10 most intense, 10° ≤ 2θ ≤ 80°, by angle)
| 2θ/deg | d/Å | intensity |
| --- | --- | --- |
| 16.6 | 5.352 | 100 |
| 16.9 | 5.235 | 40 |
| 23.5 | 3.784 | 17 |
| 23.8 | 3.742 | 50 |
| 33.5 | 2.676 | 36 |
| 37.6 | 2.393 | 19 |
| 37.8 | 2.383 | 29 |
| 38.3 | 2.351 | 24 |
| 41.5 | 2.177 | 32 |
| 42.0 | 2.153 | 21 |

Entry 5:
Starting from a structure optimized by DFT (PBE), the X-ray diffraction stick pattern of KPmCl4 was calculated for CuKα.

Atomic structure:
a = 7.583 Å, b = 4.313 Å, c = 19.294 Å
α = 90.00°, β = 90.00°, γ = 90.00°
Fractional positions:
K 0.214 0.250 0.206
K 0.286 0.750 0.706
K 0.714 0.250 0.294
K 0.786 0.750 0.794
Pm 0.249 0.750 0.439
Pm 0.251 0.250 0.939
Pm 0.749 0.750 0.061
Pm 0.751 0.250 0.561
Cl 0.009 0.250 0.063
Cl 0.092 0.250 0.364
Cl 0.094 0.250 0.805
Cl 0.142 0.250 0.536
Cl 0.358 0.750 0.036
Cl 0.406 0.750 0.305
Cl 0.408 0.750 0.864
Cl 0.491 0.750 0.563
Cl 0.509 0.250 0.437
Cl 0.592 0.250 0.136
Cl 0.594 0.250 0.695
Cl 0.642 0.250 0.964
Cl 0.858 0.750 0.464
Cl 0.906 0.750 0.195
Cl 0.908 0.750 0.636
Cl 0.991 0.750 0.937

Peak list (10 most intense, 10° ≤ 2θ ≤ 80°, by angle)
| 2θ/deg | d/Å | intensity |
| --- | --- | --- |
| 14.9 | 5.962 | 86 |
| 21.8 | 4.070 | 62 |
| 24.2 | 3.680 | 73 |
| 31.1 | 2.876 | 37 |
| 34.4 | 2.604 | 100 |
| 39.3 | 2.291 | 40 |
| 40.3 | 2.239 | 40 |
| 40.6 | 2.221 | 57 |
| 41.7 | 2.167 | 36 |
| 41.9 | 2.157 | 34 |

Entry 6:
Starting from a structure optimized by DFT (PBE), the X-ray diffraction stick pattern of KPrCl4 was calculated for CuKα.

Atomic structure:
a = 8.266 Å, b = 8.266 Å, c = 7.170 Å
α = 109.01°, β = 109.01°, γ = 109.12°
Fractional positions:
K 0.139 0.861 0.750
K 0.861 0.139 0.250
Pr 0.490 0.510 0.250
Pr 0.510 0.490 0.750
Cl 0.170 0.288 0.787
Cl 0.239 0.556 0.439
Cl 0.288 0.170 0.287
Cl 0.444 0.761 0.061
Cl 0.556 0.239 0.939
Cl 0.712 0.830 0.713
Cl 0.761 0.444 0.561
Cl 0.830 0.712 0.213

Peak list (10 most intense, 10° ≤ 2θ ≤ 80°, by angle)
| 2θ/deg | d/Å | intensity |
| --- | --- | --- |
| 13.0 | 6.834 | 100 |
| 13.1 | 6.735 | 64 |
| 22.8 | 3.907 | 18 |
| 30.1 | 2.966 | 14 |
| 30.8 | 2.899 | 15 |
| 32.5 | 2.758 | 30 |
| 33.0 | 2.714 | 23 |
| 36.3 | 2.476 | 22 |
| 39.6 | 2.278 | 15 |
| 40.2 | 2.243 | 16 |

Entry 7:
Starting from a structure optimized by DFT (PBE), the X-ray diffraction stick pattern of KPt2Cl was calculated for CuKα.

Atomic structure:
a = 3.495 Å, b = 7.666 Å, c = 7.666 Å
α = 26.29°, β = 90.00°, γ = 90.00°
Fractional positions:
K 0.000 0.000 0.000
Pt 0.000 0.232 0.232
Pt 0.500 0.676 0.676
Cl 0.500 0.381 0.381

Peak list (10 most intense, 10° ≤ 2θ ≤ 80°, by angle)
| 2θ/deg | d/Å | intensity |
| --- | --- | --- |
| 11.9 | 7.465 | 100 |
| 23.8 | 3.733 | 21 |
| 31.3 | 2.856 | 12 |
| 35.2 | 2.551 | 18 |
| 36.9 | 2.436 | 44 |
| 39.7 | 2.268 | 10 |
| 40.8 | 2.212 | 26 |
| 44.7 | 2.027 | 7 |
| 47.8 | 1.903 | 10 |
| 50.1 | 1.819 | 9 |

Entry 8:
Starting from a structure optimized by DFT (PBE), the X-ray diffraction stick pattern of K2TePtCl was calculated for CuKα.

Atomic structure:
a = 5.605 Å, b = 5.605 Å, c = 5.592 Å
α = 90.00°, β = 90.00°, γ = 90.00°
Fractional positions:
K 0.000 0.500 0.000
K 0.500 0.000 0.000
Te 0.000 0.000 0.500
Pt 0.500 0.500 0.500
Cl 0.000 0.000 0.000

Peak list (10 most intense, 10° ≤ 2θ ≤ 80°, by angle)
| 2θ/deg | d/Å | intensity |
| --- | --- | --- |
| 15.8 | 5.592 | 26 |
| 22.4 | 3.962 | 60 |
| 27.6 | 3.233 | 100 |
| 32.0 | 2.800 | 74 |
| 35.8 | 2.505 | 16 |
| 39.4 | 2.285 | 28 |
| 45.8 | 1.980 | 53 |
| 54.3 | 1.690 | 30 |
| 57.0 | 1.617 | 18 |
| 73.7 | 1.285 | 18 |

Entry 9:
Starting from a structure optimized by DFT (PBE), the X-ray diffraction stick pattern of KPuCl4 was calculated for CuKα.

Atomic structure:
a = 7.389 Å, b = 10.077 Å, c = 10.422 Å
α = 90.00°, β = 90.00°, γ = 90.00°
Fractional positions:
K 0.009 0.170 0.250
K 0.009 0.330 0.750
K 0.991 0.670 0.250
K 0.991 0.830 0.750
Pu 0.500 0.000 0.000
Pu 0.500 0.000 0.500
Pu 0.500 0.500 0.000
Pu 0.500 0.500 0.500
Cl 0.182 0.586 0.579
Cl 0.182 0.586 0.921
Cl 0.182 0.914 0.079
Cl 0.182 0.914 0.421
Cl 0.341 0.250 0.000
Cl 0.341 0.250 0.500
Cl 0.384 0.533 0.250
Cl 0.384 0.967 0.750
Cl 0.616 0.033 0.250
Cl 0.616 0.467 0.750
Cl 0.659 0.750 0.000
Cl 0.659 0.750 0.500
Cl 0.818 0.086 0.579
Cl 0.818 0.086 0.921
Cl 0.818 0.414 0.079
Cl 0.818 0.414 0.421

Peak list (10 most intense, 10° ≤ 2θ ≤ 80°, by angle)
| 2θ/deg | d/Å | intensity |
| --- | --- | --- |
| 12.0 | 7.389 | 100 |
| 17.0 | 5.211 | 59 |
| 17.6 | 5.038 | 60 |
| 20.9 | 4.259 | 86 |
| 21.3 | 4.163 | 79 |
| 24.6 | 3.622 | 38 |
| 27.4 | 3.252 | 35 |
| 34.7 | 2.586 | 50 |
| 40.8 | 2.210 | 58 |
| 44.5 | 2.037 | 32 |

Entry 10:
Starting from a structure optimized by DFT (PBE), the X-ray diffraction stick pattern of K3PuCl7 was calculated for CuKα.

Atomic structure:
a = 7.412 Å, b = 7.412 Å, c = 8.163 Å
α = 115.99°, β = 115.99°, γ = 85.16°
Fractional positions:
K 0.000 0.000 0.000
K 0.277 0.734 0.572
K 0.734 0.277 0.572
Pu 0.548 0.548 0.120
Cl 0.193 0.536 0.826
Cl 0.366 0.366 0.234
Cl 0.385 0.873 0.301
Cl 0.536 0.193 0.826
Cl 0.697 0.697 0.957
Cl 0.868 0.868 0.518
Cl 0.873 0.385 0.301

Peak list (10 most intense, 10° ≤ 2θ ≤ 80°, by angle)
| 2θ/deg | d/Å | intensity |
| --- | --- | --- |
| 13.4 | 6.591 | 100 |
| 14.1 | 6.264 | 54 |
| 16.3 | 5.435 | 28 |
| 20.2 | 4.386 | 20 |
| 22.2 | 4.010 | 23 |
| 22.3 | 3.984 | 47 |
| 23.0 | 3.867 | 20 |
| 33.0 | 2.717 | 19 |
| 34.3 | 2.614 | 19 |
| 35.5 | 2.529 | 25 |

Entry 11:
Starting from a structure optimized by DFT (PBE), the X-ray diffraction stick pattern of K2PuCl4 was calculated for CuKα.

Atomic structure:
a = 9.263 Å, b = 9.263 Å, c = 11.717 Å
α = 90.00°, β = 90.00°, γ = 90.00°
Fractional positions:
K 0.000 0.263 0.000
K 0.000 0.737 0.500
K 0.237 0.237 0.375
K 0.237 0.763 0.125
K 0.263 0.000 0.750
K 0.737 0.000 0.250
K 0.763 0.237 0.625
K 0.763 0.763 0.875
Pu 0.270 0.500 0.750
Pu 0.500 0.270 0.000
Pu 0.500 0.730 0.500
Pu 0.730 0.500 0.250
Cl 0.061 0.274 0.732
Cl 0.061 0.726 0.768
Cl 0.272 0.478 0.992
Cl 0.272 0.522 0.508
Cl 0.274 0.061 0.018
Cl 0.274 0.939 0.482
Cl 0.478 0.272 0.758
Cl 0.478 0.728 0.742
Cl 0.522 0.272 0.242
Cl 0.522 0.728 0.258
Cl 0.726 0.061 0.982
Cl 0.726 0.939 0.518
Cl 0.728 0.478 0.008
Cl 0.728 0.522 0.492
Cl 0.939 0.274 0.268
Cl 0.939 0.726 0.232

Peak list (10 most intense, 10° ≤ 2θ ≤ 80°, by angle)
| 2θ/deg | d/Å | intensity |
| --- | --- | --- |
| 12.2 | 7.266 | 100 |
| 15.5 | 5.717 | 84 |
| 22.8 | 3.906 | 70 |
| 24.7 | 3.599 | 48 |
| 27.2 | 3.275 | 62 |
| 30.5 | 2.929 | 27 |
| 31.5 | 2.842 | 34 |
| 35.8 | 2.509 | 44 |
| 38.9 | 2.316 | 30 |
| 41.4 | 2.183 | 59 |